Diffraction record for NbSi2OsAu. The X-ray powder pattern is theoretical, not measured: it uses a structure optimized by DFT (GGA-PBE) and CuKα.

Crystal structure
```
data_NbSi2OsAu
_cell_length_a 4.7249
_cell_length_b 4.7249
_cell_length_c 5.0278
_cell_angle_alpha 90.00
_cell_angle_beta 90.00
_cell_angle_gamma 90.00
_symmetry_space_group_name_H-M 'P 4/m m m'
_symmetry_Int_Tables_number 123
_symmetry_space_group_name_Hall '-P 4 2'
loop_
_atom_site_label
_atom_site_type_symbol
_atom_site_fract_x
_atom_site_fract_y
_atom_site_fract_z
Nb1 Nb 0.0000 0.0000 0.0000
Si1 Si 0.0000 0.5000 0.0000
Os1 Os 0.5000 0.5000 0.5000
Au1 Au 0.0000 0.0000 0.5000
```

The 12 most intense peaks (10° ≤ 2θ ≤ 90°), sorted by position:
2θ/deg	d_spacing	Rel. int.
17.64	5.028	36
26.68	3.341	100
32.17	2.783	84
35.72	2.514	38
38.09	2.362	64
45.14	2.009	50
53.21	1.722	49
54.97	1.671	22
62.12	1.494	19
65.13	1.432	23
67.30	1.391	24
73.77	1.284	24

***

Diffraction record for Na2UI6. The X-ray powder pattern is theoretical, not measured: it uses a structure optimized by DFT (GGA-PBE) and CuKα.

Crystal structure
```
data_Na2UI6
_cell_length_a 9.8269
_cell_length_b 9.8269
_cell_length_c 9.8269
_cell_angle_alpha 90.00
_cell_angle_beta 90.00
_cell_angle_gamma 90.00
_symmetry_space_group_name_H-M 'P n -3 m'
_symmetry_Int_Tables_number 224
loop_
_symmetry_equiv_pos_as_xyz
'x,y,z'
'-x,-y,-z'
'-y,x+1/2,z+1/2'
'y,-x+1/2,-z+1/2'
'-x+1/2,-y+1/2,z'
'x+1/2,y+1/2,-z'
'y+1/2,-x,z+1/2'
'-y+1/2,x,-z+1/2'
'x,-y+1/2,-z+1/2'
'-x,y+1/2,z+1/2'
'-y,-x,-z'
'y,x,z'
'-x+1/2,y,-z+1/2'
'x+1/2,-y,z+1/2'
'y+1/2,x+1/2,-z'
'-y+1/2,-x+1/2,z'
'z,x,y'
'-z,-x,-y'
'z+1/2,-y,x+1/2'
'-z+1/2,y,-x+1/2'
'z,-x+1/2,-y+1/2'
'-z,x+1/2,y+1/2'
'z+1/2,y+1/2,-x'
'-z+1/2,-y+1/2,x'
'-z+1/2,x,-y+1/2'
'z+1/2,-x,y+1/2'
'-z,-y,-x'
'z,y,x'
'-z+1/2,-x+1/2,y'
'z+1/2,x+1/2,-y'
'-z,y+1/2,x+1/2'
'z,-y+1/2,-x+1/2'
'y,z,x'
'-y,-z,-x'
'x+1/2,z+1/2,-y'
'-x+1/2,-z+1/2,y'
'-y+1/2,z,-x+1/2'
'y+1/2,-z,x+1/2'
'-x,z+1/2,y+1/2'
'x,-z+1/2,-y+1/2'
'-y+1/2,-z+1/2,x'
'y+1/2,z+1/2,-x'
'-x,-z,-y'
'x,z,y'
'y,-z+1/2,-x+1/2'
'-y,z+1/2,x+1/2'
'x+1/2,-z,y+1/2'
'-x+1/2,z,-y+1/2'
loop_
_atom_site_label
_atom_site_type_symbol
_atom_site_fract_x
_atom_site_fract_y
_atom_site_fract_z
Na1 Na 0.0000 0.0000 0.0000
U1 U 0.2500 0.2500 0.2500
I1 I 0.0557 0.7500 0.7500
```

The 12 most intense peaks (10° ≤ 2θ ≤ 90°), sorted by position:
2θ/deg	d_spacing	Rel. int.
12.74	6.949	82
18.05	4.913	49
28.73	3.108	100
36.58	2.457	24
38.88	2.316	51
43.18	2.095	20
47.16	1.927	24
54.44	1.685	32
64.29	1.449	13
70.41	1.337	18
73.38	1.290	14
84.89	1.142	14